Diffraction record for GdTmCoIr. The PXRD pattern is theoretical, not measured: it uses a cell relaxed with PBE and Cu Kα (λ = 1.5418 Å).
Peak positions follow from Bragg's law for the DFT cell and can differ from measured ones.

Cell and atoms:
Unit cell a=6.772 b=6.772 c=6.772 alpha=90.00 beta=90.00 gamma=90.00
Space group F-43m (No. 216)
One atom of each set of equivalent atoms:
1 Gd 0.000 0.000 0.000 x4
2 Tm 0.000 0.000 0.500 x4
3 Co 0.250 0.250 0.250 x4
4 Ir 0.250 0.250 0.750 x4

Top 8 peaks for 2θ from 10° to 80°, in order of rising 2θ:
2θ (°), I_rel, h k l
22.74, 11, 1 1 1
26.32, 2, 2 0 0
37.57, 100, 2 2 0
44.37, 6, 3 1 1
54.18, 17, 4 0 0
59.50, 3, 3 3 1
67.79, 35, 4 2 2
72.53, 2, 5 1 1